Starting from a PBE-relaxed structure, the powder X-ray diffraction pattern of Mg14SiW was computed for a wavelength of 1.5418 Å.

Structural model:
```
Mg14SiW
1.0
6.194 0.000 0.000
-3.097 5.364 0.000
0.000 0.000 9.990
Mg Si W
14 1 1
Cartesian
0.000 0.000 2.476
0.000 0.000 7.514
-1.484 2.719 2.464
-1.484 2.719 7.526
1.546 0.892 4.995
1.554 0.897 0.000
1.484 2.719 2.464
1.484 2.719 7.526
0.000 5.290 2.464
0.000 5.290 7.526
4.639 0.897 0.000
3.097 3.569 0.000
4.648 0.892 4.995
3.097 3.579 4.995
0.000 3.576 4.995
0.000 3.576 0.000
```

Main lines, in order of rising 2θ (2θ from 15° to 90°):
2θ 16.5, 5.364 Å, rel. 44
2θ 18.8, 4.726 Å, rel. 53
2θ 24.3, 3.655 Å, rel. 29
2θ 33.4, 2.682 Å, rel. 29
2θ 36.0, 2.497 Å, rel. 26
2θ 38.1, 2.363 Å, rel. 100
2θ 39.8, 2.266 Å, rel. 18
2θ 49.9, 1.828 Å, rel. 18
2θ 66.0, 1.415 Å, rel. 19
2θ 71.7, 1.316 Å, rel. 19


Starting from a PBE-relaxed structure, the powder X-ray diffraction pattern of Mg14SiW was computed for a wavelength of 1.5418 Å.

Structural model:
```
Mg14SiW
1.0
10.110 0.000 0.000
0.000 3.032 5.402
0.000 -3.032 5.402
Mg Si W
14 1 1
Cartesian
0.000 0.000 0.000
0.000 -1.512 2.716
0.000 0.000 5.395
0.000 1.512 2.716
2.530 0.000 7.173
2.590 0.000 1.739
2.665 -1.531 4.527
2.665 1.531 4.527
5.055 -1.517 8.088
5.055 1.517 8.088
7.445 -1.531 4.527
7.445 1.531 4.527
7.520 0.000 1.739
7.580 0.000 7.173
5.055 0.000 5.442
5.055 0.000 0.023
```

Main lines, in order of rising 2θ (2θ from 15° to 90°):
2θ 16.4, 5.402 Å, rel. 23
2θ 16.8, 5.288 Å, rel. 37
2θ 18.6, 4.764 Å, rel. 33
2θ 18.9, 4.686 Å, rel. 55
2θ 24.4, 3.654 Å, rel. 29
2θ 33.9, 2.643 Å, rel. 43
2θ 35.5, 2.527 Å, rel. 40
2θ 37.8, 2.382 Å, rel. 55
2θ 38.4, 2.343 Å, rel. 100
2θ 49.9, 1.827 Å, rel. 20


Starting from a PBE-relaxed structure, the powder X-ray diffraction pattern of YMg14Si was computed for a wavelength of 1.5418 Å.

Structural model:
```
YMg14Si
1.0
10.314 0.000 0.000
0.000 3.111 5.636
0.000 -3.111 5.636
Y Mg Si
1 14 1
Cartesian
0.000 0.000 0.000
0.000 -1.524 2.812
0.000 1.524 2.812
2.496 0.000 7.420
2.600 -1.531 4.636
2.600 1.531 4.636
2.651 0.000 1.830
5.157 0.000 5.610
5.157 -1.538 8.412
5.157 1.538 8.412
5.157 0.000 11.224
7.663 0.000 1.830
7.715 -1.531 4.636
7.715 1.531 4.636
7.819 0.000 7.420
0.000 0.000 5.516
```

Main lines, in order of rising 2θ (2θ from 15° to 90°):
2θ 31.8, 2.818 Å, rel. 12
2θ 32.9, 2.724 Å, rel. 31
2θ 34.8, 2.579 Å, rel. 41
2θ 36.3, 2.473 Å, rel. 58
2θ 37.3, 2.408 Å, rel. 100
2θ 48.6, 1.872 Å, rel. 18
2θ 57.3, 1.608 Å, rel. 18
2θ 64.1, 1.454 Å, rel. 19
2θ 68.8, 1.364 Å, rel. 21
2θ 71.7, 1.317 Å, rel. 14


Starting from a PBE-relaxed structure, the powder X-ray diffraction pattern of YMg6Si was computed for a wavelength of 1.5418 Å.

Structural model:
```
YMg6Si
1.0
5.083 0.000 0.000
0.000 3.031 5.841
0.000 -3.031 5.841
Y Mg Si
1 6 1
Cartesian
0.000 0.000 0.000
0.000 -1.517 8.729
0.000 1.517 8.729
2.541 -1.497 4.670
2.541 0.000 1.885
2.541 0.000 7.508
2.541 1.497 4.670
0.000 0.000 5.646
```

Main lines, in order of rising 2θ (2θ from 15° to 90°):
2θ 15.2, 5.841 Å, rel. 22
2θ 16.5, 5.381 Å, rel. 26
2θ 24.1, 3.695 Å, rel. 27
2θ 33.3, 2.691 Å, rel. 37
2θ 35.3, 2.541 Å, rel. 44
2θ 35.4, 2.532 Å, rel. 74
2θ 37.8, 2.378 Å, rel. 100
2θ 49.3, 1.848 Å, rel. 23
2θ 68.1, 1.377 Å, rel. 21
2θ 72.7, 1.301 Å, rel. 26


Starting from a PBE-relaxed structure, the powder X-ray diffraction pattern of YMg14Si was computed for a wavelength of 1.5418 Å.

Structural model:
```
YMg14Si
1.0
6.398 0.000 0.000
-3.199 5.541 0.000
0.000 0.000 10.318
Y Mg Si
1 14 1
Cartesian
0.000 0.000 0.000
-1.545 2.802 0.000
0.000 1.809 2.676
0.000 1.809 7.642
-1.632 4.636 2.676
-1.632 4.636 7.642
1.545 2.802 0.000
0.000 5.477 0.000
3.199 0.032 5.159
1.627 2.755 5.159
3.199 1.847 2.482
3.199 1.847 7.836
1.632 4.636 2.676
1.632 4.636 7.642
4.771 2.755 5.159
0.000 0.000 5.159
```

Main lines, in order of rising 2θ (2θ from 15° to 90°):
2θ 16.0, 5.541 Å, rel. 13
2θ 18.2, 4.881 Å, rel. 12
2θ 32.3, 2.770 Å, rel. 25
2θ 34.8, 2.580 Å, rel. 26
2θ 36.8, 2.441 Å, rel. 100
2θ 48.2, 1.888 Å, rel. 16
2θ 57.6, 1.599 Å, rel. 17
2θ 63.7, 1.461 Å, rel. 18
2θ 69.1, 1.359 Å, rel. 19
2θ 70.4, 1.338 Å, rel. 14


Starting from a PBE-relaxed structure, the powder X-ray diffraction pattern of YMg6Si was computed for a wavelength of 1.5418 Å.

Structural model:
```
YMg6Si
1.0
4.950 0.000 0.000
0.000 3.277 5.583
0.000 -3.277 5.583
Y Mg Si
1 6 1
Cartesian
0.000 0.000 0.000
0.000 -1.659 2.883
0.000 1.659 2.883
0.000 0.000 5.722
2.475 0.000 3.860
2.475 -1.558 6.685
2.475 1.558 6.685
2.475 0.000 9.485
```

Main lines, in order of rising 2θ (2θ from 15° to 90°):
2θ 15.7, 5.652 Å, rel. 34
2θ 23.9, 3.724 Å, rel. 25
2θ 31.7, 2.826 Å, rel. 37
2θ 36.3, 2.475 Å, rel. 37
2θ 36.6, 2.454 Å, rel. 100
2θ 37.0, 2.431 Å, rel. 59
2θ 48.9, 1.862 Å, rel. 22
2θ 56.9, 1.619 Å, rel. 21
2θ 69.1, 1.359 Å, rel. 17
2θ 69.4, 1.354 Å, rel. 19